The following is a simulated powder diffractogram of MgTiS2. It was derived from a DFT-relaxed cell (GGA-PBE, the Materials Project), using CuKα.
Peak positions follow from Bragg's law for the DFT cell and can differ from measured ones.

Crystal structure
```
data_MgTiS2
_chemical_formula_sum 'Mg2 Ti2 S4'
_cell_length_a 5.943
_cell_length_b 3.440
_cell_length_c 6.794
_cell_angle_alpha 90.00
_cell_angle_beta 106.45
_cell_angle_gamma 90.00
_space_group_name_H-M_alt 'C 1 m 1'
_space_group_IT_number 8
_space_group_name_Hall 'C -2y'
loop_
_atom_site_label
_atom_site_fract_x
_atom_site_fract_y
_atom_site_fract_z
Mg1 0.000 0.000 0.000
Ti1 0.337 0.500 0.500
S1 0.247 0.000 0.737
S2 0.426 0.000 0.262
```

Top 10 peaks for 15 to 90 degrees two-theta, by angle:
d/Å	2θ (°)	I/Imax
2.846	31.43	811
2.375	37.87	506
2.364	38.07	1000
2.041	44.38	513
2.026	44.73	253
1.720	53.26	219
1.717	53.37	435
1.628	56.52	237
1.393	67.20	162
1.182	81.38	157